Entry 1:
Structure and theoretical X-ray diffraction stick pattern of Pm3ErSc (a PBE-relaxed structure; a wavelength of 1.5418 Å).
Neutral-atom scattering factors, no anomalous dispersion.

Cell and atoms:
Lattice parameters (Å, degrees): 3.517 8.450 11.513 110.94 90.40 97.70
Space group P-1 (No. 2)
One atom of each set of equivalent atoms:
Pm 0.065 0.132 0.160
Pm 0.303 0.695 0.545
Pm 0.361 0.712 0.059
Er 0.287 0.457 0.739
Sc 0.207 0.930 0.369

Main lines, in order of falling intensity (2θ from 10° to 90°):
31.1 deg, intensity 100
32.7 deg, intensity 95
32.3 deg, intensity 84
32.9 deg, intensity 57
11.3 deg, intensity 29
29.6 deg, intensity 26
29.2 deg, intensity 23
56.4 deg, intensity 21
50.1 deg, intensity 20
60.5 deg, intensity 19


Entry 2:
Structure and theoretical X-ray diffraction stick pattern of Ac6Pr2Nd5 (a PBE-relaxed structure; a wavelength of 1.5418 Å).
Neutral-atom scattering factors, no anomalous dispersion.

Cell and atoms:
Lattice parameters (Å, degrees): 11.546 24.006 3.800 90.00 90.00 90.00
Space group Pbam (No. 55)
One atom of each set of equivalent atoms:
Ac 0.021 0.111 0.000
Ac 0.145 0.385 0.000
Ac 0.166 0.632 0.500
Pr 0.163 0.769 0.000
Nd 0.000 0.500 0.500
Nd 0.087 0.248 0.500
Nd 0.167 0.996 0.500

Main lines, in order of falling intensity (2θ from 10° to 90°):
29.8 deg, intensity 100
25.7 deg, intensity 72
30.3 deg, intensity 67
57.4 deg, intensity 32
33.9 deg, intensity 31
47.9 deg, intensity 28
33.4 deg, intensity 26
31.9 deg, intensity 24
55.1 deg, intensity 21
27.8 deg, intensity 20


Entry 3:
Structure and theoretical X-ray diffraction stick pattern of Na2LaHgSb2 (a PBE-relaxed structure; a wavelength of 1.5418 Å).
Neutral-atom scattering factors, no anomalous dispersion.

Cell and atoms:
Lattice parameters (Å, degrees): 4.638 9.122 8.470 90.00 90.00 90.00
Space group Pmc2_1 (No. 26)
One atom of each set of equivalent atoms:
Na 0.000 0.077 0.000
Na 0.500 0.167 0.321
La 0.500 0.457 0.930
Hg 0.000 0.300 0.572
Sb 0.000 0.389 0.195
Sb 0.500 0.158 0.716

Main lines, in order of falling intensity (2θ from 10° to 90°):
30.2 deg, intensity 100
14.3 deg, intensity 83
35.3 deg, intensity 75
28.5 deg, intensity 64
38.6 deg, intensity 58
38.8 deg, intensity 53
24.0 deg, intensity 48
37.5 deg, intensity 46
34.8 deg, intensity 38
29.4 deg, intensity 38


Entry 4:
Structure and theoretical X-ray diffraction stick pattern of Ho2AlAg2 (a PBE-relaxed structure; a wavelength of 1.5418 Å).
Neutral-atom scattering factors, no anomalous dispersion.

Cell and atoms:
Lattice parameters (Å, degrees): 7.448 7.448 8.264 90.00 90.00 90.00
Space group P4/mnc (No. 128)
One atom of each set of equivalent atoms:
Ho 0.174 0.326 0.000
Al 0.000 0.000 0.250
Ag 0.133 0.633 0.250

Main lines, in order of falling intensity (2θ from 10° to 90°):
34.6 deg, intensity 100
38.2 deg, intensity 21
16.8 deg, intensity 18
43.8 deg, intensity 18
55.5 deg, intensity 15
32.4 deg, intensity 14
23.9 deg, intensity 13
59.5 deg, intensity 11
72.0 deg, intensity 11
74.6 deg, intensity 10


Entry 5:
Structure and theoretical X-ray diffraction stick pattern of Nd2Dy3Ho8 (a PBE-relaxed structure; a wavelength of 1.5418 Å).
Neutral-atom scattering factors, no anomalous dispersion.

Cell and atoms:
Lattice parameters (Å, degrees): 7.603 20.691 5.528 90.00 90.00 90.00
Space group Cmmm (No. 65)
One atom of each set of equivalent atoms:
Nd 0.000 0.241 0.000
Dy 0.000 0.000 0.000
Dy 0.213 0.500 0.500
Ho 0.000 0.129 0.500
Ho 0.000 0.338 0.500
Ho 0.213 0.393 0.000

Main lines, in order of falling intensity (2θ from 10° to 90°):
33.4 deg, intensity 100
32.4 deg, intensity 37
30.6 deg, intensity 30
29.4 deg, intensity 28
58.4 deg, intensity 21
25.0 deg, intensity 17
34.7 deg, intensity 13
67.8 deg, intensity 13
41.3 deg, intensity 11
48.2 deg, intensity 11


Entry 6:
Structure and theoretical X-ray diffraction stick pattern of TiSiAg2O5 (a PBE-relaxed structure; a wavelength of 1.5418 Å).
Neutral-atom scattering factors, no anomalous dispersion.

Cell and atoms:
Lattice parameters (Å, degrees): 6.556 6.556 5.534 90.00 90.00 90.00
Space group P4/nmm (No. 129, origin choice 2)
One atom of each set of equivalent atoms:
Ti 0.250 0.250 0.064
Si 0.250 0.750 0.000
Ag 0.000 0.000 0.500
O 0.043 0.750 0.831
O 0.250 0.250 0.755

Main lines, in order of falling intensity (2θ from 10° to 90°):
31.7 deg, intensity 100
51.4 deg, intensity 25
38.8 deg, intensity 21
65.9 deg, intensity 21
16.0 deg, intensity 18
42.3 deg, intensity 16
42.8 deg, intensity 16
32.4 deg, intensity 14
57.3 deg, intensity 13
27.2 deg, intensity 13


Entry 7:
Structure and theoretical X-ray diffraction stick pattern of EuAl2O4 (a PBE-relaxed structure; a wavelength of 1.5418 Å).
Neutral-atom scattering factors, no anomalous dispersion.

Cell and atoms:
Lattice parameters (Å, degrees): 5.207 8.890 8.513 90.00 93.42 90.00
Space group P2_1 (No. 4)
One atom of each set of equivalent atoms:
Eu 0.199 0.000 0.025
Eu 0.257 0.007 0.485
Al 0.202 0.678 0.320
Al 0.217 0.678 0.708
Al 0.278 0.346 0.201
Al 0.287 0.340 0.811
O 0.058 0.806 0.827
O 0.091 0.176 0.800
O 0.097 0.493 0.738
O 0.111 0.724 0.512
O 0.351 0.499 0.328
O 0.365 0.393 0.009
O 0.414 0.825 0.274
O 0.441 0.179 0.266

Main lines, in order of falling intensity (2θ from 10° to 90°):
19.8 deg, intensity 100
28.2 deg, intensity 94
29.1 deg, intensity 94
29.7 deg, intensity 84
34.8 deg, intensity 69
20.0 deg, intensity 51
34.5 deg, intensity 29
46.8 deg, intensity 26
41.5 deg, intensity 24
46.1 deg, intensity 24


Entry 8:
Structure and theoretical X-ray diffraction stick pattern of Ga2HgI5 (a PBE-relaxed structure; a wavelength of 1.5418 Å).
Neutral-atom scattering factors, no anomalous dispersion.

Cell and atoms:
Lattice parameters (Å, degrees): 4.251 24.259 8.590 90.00 104.31 90.00
Space group P2_1/m (No. 11)
One atom of each set of equivalent atoms:
Ga 0.100 0.159 0.193
Hg 0.014 0.250 0.019
I 0.015 0.071 0.023
I 0.293 0.655 0.592
I 0.394 0.250 0.779

Main lines, in order of falling intensity (2θ from 10° to 90°):
41.0 deg, intensity 100
26.4 deg, intensity 90
24.5 deg, intensity 85
10.6 deg, intensity 78
26.7 deg, intensity 72
21.6 deg, intensity 57
37.4 deg, intensity 48
18.1 deg, intensity 42
21.2 deg, intensity 41
11.2 deg, intensity 32


Entry 9:
Structure and theoretical X-ray diffraction stick pattern of SbMo2Os (a PBE-relaxed structure; a wavelength of 1.5418 Å).
Neutral-atom scattering factors, no anomalous dispersion.

Cell and atoms:
Lattice parameters (Å, degrees): 9.576 3.093 4.638 90.00 102.44 90.00
Space group C2/m (No. 12)
One atom of each set of equivalent atoms:
Sb 0.000 0.000 0.000
Mo 0.244 0.000 0.721
Os 0.000 0.500 0.500

Main lines, in order of falling intensity (2θ from 10° to 90°):
37.6 deg, intensity 100
43.0 deg, intensity 70
38.5 deg, intensity 47
40.3 deg, intensity 41
48.3 deg, intensity 23
65.3 deg, intensity 19
67.8 deg, intensity 16
73.4 deg, intensity 14
19.0 deg, intensity 13
74.6 deg, intensity 13